For KCdFeF6, a crystal structure in Alexandria, relaxed with GGA+U gives the calculated X-ray diffraction stick pattern in this record (a wavelength of 1.5418 Å).
Peak positions follow from Bragg's law for the DFT cell and can differ from measured ones.

Main lines, by intensity (2θ from 10° to 90°):
Position (°2θ)  intensity
24.50  100.0
16.42  69.2
46.43  62.1
35.75  43.5
31.53  38.3
18.05  22.8
52.07  21.7
56.15  20.3

Crystal structure
a b c (Å): 5.674 5.674 10.797
angles (deg): 90.00 90.00 120.00
Fractional coordinates of all 18 atoms:
K 0.000 0.000 0.000
K 0.000 0.000 0.500
Cd 0.333 0.667 0.250
Cd 0.667 0.333 0.750
Fe 0.333 0.667 0.750
Fe 0.667 0.333 0.250
F 0.047 0.398 0.650
F 0.047 0.649 0.850
F 0.351 0.398 0.850
F 0.351 0.953 0.650
F 0.398 0.047 0.150
F 0.398 0.351 0.350
F 0.602 0.649 0.650
F 0.602 0.953 0.850
F 0.649 0.047 0.350
F 0.649 0.602 0.150
F 0.953 0.351 0.150
F 0.953 0.602 0.350